The following is a theoretical PXRD pattern of Ac12ZnSi5. It was derived from a cell relaxed with PBE, using Cu Kα.

Most intense lines, 2θ from 10° to 80°, by angle:
2theta	I/Imax
23.33	34
25.75	30
26.36	45
26.58	22
28.78	100
30.86	45
31.12	31
31.38	44
33.83	28
52.97	39

Atomic structure:
```
18
Lattice="-5.299 5.337 5.488 5.299 -5.337 5.488 5.299 5.337 -5.488" Properties=species:S:1:pos:R:3 pbc="T T T"
Ac 5.299 3.219 -2.855
Ac 2.827 1.863 0.000
Ac 7.771 1.863 0.000
Ac 2.179 5.337 -1.938
Ac 3.120 0.000 3.549
Ac 0.000 2.118 2.633
Ac 5.299 3.219 2.855
Ac 2.179 5.337 1.938
Ac 3.120 0.000 7.426
Ac -2.472 3.474 5.488
Ac 2.472 3.474 5.488
Ac 0.000 2.118 8.343
Zn 0.000 0.000 5.488
Si 0.000 0.000 0.000
Si 5.299 0.000 1.203
Si 0.000 4.054 0.000
Si 0.000 6.620 0.000
Si 0.000 5.337 4.284
```